For Hf3Bi2H2, a DFT-relaxed cell (PBE, Alexandria) gives the theoretical powder diffractogram in this record (CuKα).
Intensities are scaled so that the largest is 100.

Structural model:
Cell lengths 3.6204, 3.9998, 18.3869 Å; angles 90.00, 90.00, 90.00 degrees
Space group Immm (No. 71)
Unique sites:
Hf  0.0000  0.0000  0.0000
Hf  0.0000  0.0000  0.4042
Bi  0.0000  0.0000  0.1730
H  0.0000  0.2517  0.5000

Peak list (10 most intense, 2θ = 5–70°, by angle)
Position (°2θ)	d (Å)	intensity
19.31	4.597	11
33.09	2.707	74
33.38	2.684	100
34.77	2.580	65
41.11	2.196	13
42.52	2.126	11
45.35	2.000	22
50.41	1.810	16
58.38	1.581	30
61.64	1.505	25